(1)
Starting from a crystal structure in Alexandria, relaxed with GGA-PBE, the powder X-ray diffraction pattern of GaH3O was computed for CuKα.
Peak positions follow from Bragg's law for the DFT cell and can differ from measured ones.

Atomic structure:
```
GaH3O
1.0
3.375 0.000 0.000
0.000 3.375 0.000
0.000 0.000 3.375
Ga H O
1 3 1
Direct
0.000 0.000 0.000 Ga
0.000 0.500 0.500 H
0.500 0.000 0.500 H
0.500 0.500 0.000 H
0.500 0.500 0.500 O
```

Peak list (8 most intense, 10° ≤ 2θ ≤ 90°, by intensity)
2θ/deg, I (rel.)
37.69, 100
26.41, 48
68.04, 31
61.43, 21
54.37, 18
46.61, 17
86.51, 10
80.49, 10

(2)
Starting from a crystal structure in Alexandria, relaxed with GGA-PBE, the powder X-ray diffraction pattern of GaPH2O was computed for CuKα.
Peak positions follow from Bragg's law for the DFT cell and can differ from measured ones.

Atomic structure:
```
GaPH2O
1.0
3.356 -1.950 0.000
3.356 1.950 0.000
-1.312 0.000 5.293
Ga P H O
1 1 2 1
Direct
0.000 0.000 0.000 Ga
0.641 0.641 0.868 P
0.306 0.900 0.497 H
0.900 0.306 0.497 H
0.111 0.111 0.387 O
```

Peak list (12 most intense, 10° ≤ 2θ ≤ 90°, by intensity)
2θ/deg, I (rel.)
16.75, 100
29.77, 63
26.64, 50
27.38, 38
47.38, 29
40.77, 27
33.87, 23
47.95, 18
55.82, 17
46.58, 15
35.67, 15
54.87, 14

(3)
Starting from a crystal structure in Alexandria, relaxed with GGA-PBE, the powder X-ray diffraction pattern of GaPH2O was computed for CuKα.
Peak positions follow from Bragg's law for the DFT cell and can differ from measured ones.

Atomic structure:
```
GaPH2O
1.0
3.392 -1.983 0.000
3.392 1.983 0.000
-0.085 0.000 5.803
Ga P H O
1 1 2 1
Direct
0.000 0.000 0.000 Ga
0.334 0.334 0.122 P
0.329 0.329 0.366 H
0.874 0.874 0.620 H
0.008 0.008 0.683 O
```

Peak list (12 most intense, 10° ≤ 2θ ≤ 90°, by intensity)
2θ/deg, I (rel.)
15.27, 100
26.03, 48
30.21, 39
30.77, 33
26.28, 23
46.22, 21
40.61, 18
56.18, 16
54.29, 16
45.76, 11
49.16, 10
48.52, 10

(4)
Starting from a crystal structure in Alexandria, relaxed with GGA-PBE, the powder X-ray diffraction pattern of Ga2P3H3O9 was computed for CuKα.
Peak positions follow from Bragg's law for the DFT cell and can differ from measured ones.

Atomic structure:
```
Ga2P3H3O9
1.0
8.084 0.000 0.000
-4.042 7.001 0.000
0.000 0.000 7.349
Ga P H O
4 6 6 18
Direct
0.333 0.667 0.049 Ga
0.333 0.667 0.451 Ga
0.667 0.333 0.549 Ga
0.667 0.333 0.951 Ga
0.047 0.688 0.750 P
0.312 0.359 0.750 P
0.359 0.047 0.250 P
0.641 0.953 0.750 P
0.688 0.641 0.250 P
0.953 0.312 0.250 P
0.021 0.182 0.250 H
0.162 0.979 0.250 H
0.182 0.162 0.750 H
0.818 0.838 0.250 H
0.838 0.021 0.750 H
0.979 0.818 0.750 H
0.132 0.517 0.250 O
0.162 0.727 0.574 O
0.162 0.727 0.926 O
0.273 0.434 0.574 O
0.273 0.434 0.926 O
0.386 0.868 0.250 O
0.434 0.162 0.074 O
0.434 0.162 0.426 O
0.483 0.614 0.250 O
0.517 0.386 0.750 O
0.566 0.838 0.574 O
0.566 0.838 0.926 O
0.614 0.132 0.750 O
0.727 0.566 0.074 O
0.727 0.566 0.426 O
0.838 0.273 0.074 O
0.838 0.273 0.426 O
0.868 0.483 0.750 O
```

Peak list (12 most intense, 10° ≤ 2θ ≤ 90°, by intensity)
2θ/deg, I (rel.)
12.64, 100
25.14, 40
32.94, 38
21.99, 20
28.24, 20
50.79, 16
38.58, 15
51.61, 12
25.45, 11
60.88, 11
35.42, 11
66.25, 10